Record 1
Calculated X-ray diffraction stick pattern
Compound: KSi5BO13
Radiation: Cu Kα (weighted mean of Kα1 and Kα2)
Structure: the GGA-PBE geometry in Alexandria
Neutral-atom scattering factors, no anomalous dispersion.

Crystal structure
```
KSi5BO13
1.0
13.5573 0.0000 0.0000
0.0000 4.8118 0.0000
0.0000 0.0000 8.7128
K Si B O
2 10 2 26
direct
0.0000 0.0602 0.0000
0.5000 0.9398 0.5000
0.0000 0.0696 0.5556
0.1990 0.6369 0.8190
0.2053 0.8650 0.4740
0.2947 0.1350 0.9740
0.3010 0.3631 0.3190
0.5000 0.9304 0.0556
0.6990 0.3631 0.3190
0.7053 0.1350 0.9740
0.7947 0.8650 0.4740
0.8010 0.6369 0.8190
0.0000 0.5702 0.7403
0.5000 0.4298 0.2403
0.0000 0.3962 0.6031
0.0000 0.5589 0.1141
0.0000 0.8697 0.7058
0.0880 0.5083 0.8384
0.0968 0.0003 0.4481
0.2109 0.8957 0.9411
0.2206 0.6069 0.3553
0.2233 0.7541 0.6480
0.2767 0.2459 0.1480
0.2794 0.3931 0.8553
0.2891 0.1043 0.4411
0.4032 0.9997 0.9481
0.4120 0.4917 0.3384
0.5000 0.1303 0.2058
0.5000 0.4411 0.6141
0.5000 0.6038 0.1031
0.5880 0.4917 0.3384
0.5968 0.9997 0.9481
0.7109 0.1043 0.4411
0.7206 0.3931 0.8553
0.7233 0.2459 0.1480
0.7767 0.7541 0.6480
0.7794 0.6069 0.3553
0.7891 0.8957 0.9411
0.9032 0.0003 0.4481
0.9120 0.5083 0.8384
```

Most intense lines, 10° ≤ 2θ ≤ 90°, low angle first:
2θ (°), d (Å), intensity
12.1, 7.330, 100
20.4, 4.356, 37
21.1, 4.212, 21
22.1, 4.020, 28
24.3, 3.665, 50
24.9, 3.578, 24
26.3, 3.389, 58
27.1, 3.294, 43
27.6, 3.229, 86
45.7, 1.984, 27

Record 2
Calculated X-ray diffraction stick pattern
Compound: KSr4B3O9
Radiation: Cu Kα (weighted mean of Kα1 and Kα2)
Structure: the GGA-PBE geometry in Alexandria
Neutral-atom scattering factors, no anomalous dispersion.

Crystal structure
```
KSr4B3O9
1.0
11.1505 0.0000 0.0000
0.0000 6.0682 3.4786
0.0000 -6.0682 3.4786
K Sr B O
2 8 6 18
direct
0.2500 0.0809 0.9191
0.7500 0.9191 0.0809
0.0000 0.5489 0.5489
0.0304 0.6892 0.1181
0.2500 0.1260 0.4184
0.4696 0.6892 0.1181
0.5000 0.5489 0.5489
0.5304 0.1181 0.6892
0.7500 0.4184 0.1260
0.9696 0.1181 0.6892
0.0000 0.1196 0.1196
0.2500 0.5192 0.8631
0.2500 0.6998 0.4515
0.5000 0.1196 0.1196
0.7500 0.4515 0.6998
0.7500 0.8631 0.5192
0.0000 0.9207 0.9207
0.0269 0.1227 0.3166
0.1420 0.4024 0.7790
0.1420 0.8202 0.4884
0.2500 0.4805 0.3931
0.2500 0.7379 0.0324
0.3580 0.4024 0.7790
0.3580 0.8202 0.4884
0.4731 0.1227 0.3166
0.5000 0.9207 0.9207
0.5269 0.3166 0.1227
0.6420 0.4884 0.8202
0.6420 0.7790 0.4024
0.7500 0.0324 0.7379
0.7500 0.3931 0.4805
0.8580 0.4884 0.8202
0.8580 0.7790 0.4024
0.9731 0.3166 0.1227
```

Most intense lines, 10° ≤ 2θ ≤ 90°, low angle first:
2θ (°), d (Å), intensity
16.7, 5.320, 53
28.2, 3.165, 55
29.6, 3.018, 44
30.2, 2.963, 82
30.7, 2.913, 43
32.1, 2.788, 89
33.6, 2.665, 100
33.8, 2.654, 84
39.4, 2.289, 56
41.4, 2.179, 60

Record 3
Calculated X-ray diffraction stick pattern
Compound: KSrBO3
Radiation: Cu Kα (weighted mean of Kα1 and Kα2)
Structure: the GGA-PBE geometry in Alexandria
Neutral-atom scattering factors, no anomalous dispersion.

Crystal structure
```
KSrBO3
1.0
5.6681 0.0000 0.0000
-2.8340 4.9087 0.0000
0.0000 0.0000 6.8009
K Sr B O
2 2 2 6
direct
0.3333 0.6667 0.2500
0.6667 0.3333 0.7500
0.0000 0.0000 0.0000
0.0000 0.0000 0.5000
0.3333 0.6667 0.7500
0.6667 0.3333 0.2500
0.1909 0.3817 0.7500
0.1909 0.8091 0.7500
0.3817 0.1909 0.2500
0.6183 0.8091 0.7500
0.8091 0.1909 0.2500
0.8091 0.6183 0.2500
```

Most intense lines, 10° ≤ 2θ ≤ 90°, low angle first:
2θ (°), d (Å), intensity
18.1, 4.909, 61
31.6, 2.834, 63
32.0, 2.795, 100
39.0, 2.309, 20
45.6, 1.990, 51
49.1, 1.855, 17
56.5, 1.629, 25
63.8, 1.458, 15
65.9, 1.417, 12
75.2, 1.264, 17